No. 1
The following is a theoretical powder XRD pattern of InCo2Se3. It was derived from a DFT-relaxed cell (PBE, OQMD), using Cu Ka.

Peak list (10 most intense, 2θ from 10° to 90°, low angle first)
27.1°, I = 49; 27.3°, I = 100; 27.6°, I = 55; 45.1°, I = 67; 45.3°, I = 23; 45.7°, I = 47; 53.5°, I = 26; 53.7°, I = 13; 54.0°, I = 26; 65.9°, I = 12

Structural model:
```
InCo2Se3
1.0
3.4805 -6.0215 0.0000
3.4805 6.0215 0.0000
-2.2458 0.0000 6.4717
In Co Se
2 4 6
Direct
0.0909 0.9091 0.5000
0.9091 0.0909 0.0000
0.2595 0.7488 0.0122
0.4330 0.5955 0.5126
0.5955 0.4330 0.0126
0.7488 0.2595 0.5122
0.0565 0.2573 0.4135
0.2573 0.0565 0.9135
0.4202 0.8773 0.3760
0.5129 0.6777 0.8736
0.6777 0.5129 0.3736
0.8773 0.4202 0.8760
```

No. 2
The following is a theoretical powder XRD pattern of Rb2NiAg2S4. It was derived from a DFT-relaxed cell (PBE, OQMD), using Cu Ka.

Peak list (10 most intense, 2θ from 10° to 90°, low angle first)
13.5°, I = 56; 22.7°, I = 23; 26.0°, I = 47; 27.2°, I = 21; 28.9°, I = 21; 29.3°, I = 67; 30.9°, I = 22; 31.7°, I = 24; 32.5°, I = 100; 50.1°, I = 34

Structural model:
```
Rb2NiAg2S4
1.0
3.7461 -11.1707 0.0000
3.7461 11.1707 0.0000
-2.4108 0.0000 5.5103
Rb Ni Ag S
4 2 4 8
Direct
0.0632 0.9368 0.7500
0.1929 0.8071 0.2500
0.8071 0.1929 0.7500
0.9368 0.0632 0.2500
0.3766 0.6234 0.2500
0.6234 0.3766 0.7500
0.3211 0.6789 0.7500
0.4779 0.5221 0.7500
0.5221 0.4779 0.2500
0.6789 0.3211 0.2500
0.1156 0.4783 0.3323
0.2356 0.3664 0.9561
0.3664 0.2356 0.4561
0.4783 0.1156 0.8323
0.5217 0.8844 0.1677
0.6336 0.7644 0.5439
0.7644 0.6336 0.0439
0.8844 0.5217 0.6677
```